1.
The following is a calculated powder diffractogram of Sm6DyTl3. It was derived from a cell relaxed with PBE, using Cu Kα (weighted mean of Kα1 and Kα2).

The 10 most intense peaks (2θ from 15° to 90°), sorted by position:
15.16 deg, intensity 16.7; 28.26 deg, intensity 21.9; 30.46 deg, intensity 100.0; 30.60 deg, intensity 94.6; 33.78 deg, intensity 16.6; 36.02 deg, intensity 41.9; 36.33 deg, intensity 37.3; 37.57 deg, intensity 33.7; 58.33 deg, intensity 25.3; 61.05 deg, intensity 25.1

Crystal structure
```
Sm6DyTl3
1.0
5.307 -7.891 0.000
5.307 7.891 0.000
0.000 0.000 7.811
Sm Dy Tl
12 2 6
Direct
0.045 0.955 0.500 Sm
0.082 0.456 0.002 Sm
0.230 0.298 0.314 Sm
0.298 0.230 0.814 Sm
0.301 0.699 0.354 Sm
0.456 0.082 0.502 Sm
0.544 0.918 0.002 Sm
0.699 0.301 0.854 Sm
0.702 0.770 0.314 Sm
0.770 0.702 0.814 Sm
0.918 0.544 0.502 Sm
0.955 0.045 0.000 Sm
0.196 0.804 0.794 Dy
0.804 0.196 0.294 Dy
0.014 0.285 0.642 Tl
0.285 0.014 0.142 Tl
0.449 0.551 0.034 Tl
0.551 0.449 0.534 Tl
0.715 0.986 0.642 Tl
0.986 0.715 0.142 Tl
```


2.
The following is a calculated powder diffractogram of NaAcMg2Ge2. It was derived from a cell relaxed with PBE, using Cu Kα (weighted mean of Kα1 and Kα2).

The 10 most intense peaks (2θ from 15° to 90°), sorted by position:
21.84 deg, intensity 23.7; 24.83 deg, intensity 93.5; 32.26 deg, intensity 100.0; 38.31 deg, intensity 57.0; 42.07 deg, intensity 19.8; 46.19 deg, intensity 18.3; 50.93 deg, intensity 27.9; 53.24 deg, intensity 23.6; 62.98 deg, intensity 17.4; 65.48 deg, intensity 26.2

Crystal structure
```
NaAcMg2Ge2
1.0
4.699 0.000 0.000
-2.349 4.069 0.000
0.000 0.000 7.587
Na Ac Mg Ge
1 1 2 2
Direct
0.000 0.000 0.000 Na
0.000 0.000 0.500 Ac
0.333 0.667 0.160 Mg
0.667 0.333 0.840 Mg
0.333 0.667 0.756 Ge
0.667 0.333 0.244 Ge
```


3.
The following is a calculated powder diffractogram of Ag2Ge2Au5. It was derived from a cell relaxed with PBE, using Cu Kα (weighted mean of Kα1 and Kα2).

The 10 most intense peaks (2θ from 15° to 90°), sorted by position:
36.60 deg, intensity 58.4; 37.15 deg, intensity 47.9; 37.82 deg, intensity 58.5; 37.97 deg, intensity 100.0; 38.32 deg, intensity 98.4; 39.02 deg, intensity 43.3; 40.10 deg, intensity 47.5; 40.73 deg, intensity 80.9; 40.94 deg, intensity 49.7; 78.70 deg, intensity 24.2

Crystal structure
```
Ag2Ge2Au5
1.0
4.713 0.000 0.000
2.025 4.930 0.000
0.159 2.209 7.260
Ag Ge Au
2 2 5
Direct
0.126 0.297 0.180 Ag
0.874 0.703 0.820 Ag
0.392 0.680 0.237 Ge
0.608 0.320 0.763 Ge
0.000 0.500 0.500 Au
0.223 0.062 0.874 Au
0.315 0.845 0.561 Au
0.685 0.155 0.439 Au
0.777 0.938 0.126 Au
```


4.
The following is a calculated powder diffractogram of Cs2Mn3Se4. It was derived from a cell relaxed with PBE, using Cu Kα (weighted mean of Kα1 and Kα2).

The 10 most intense peaks (2θ from 15° to 90°), sorted by position:
27.24 deg, intensity 100.0; 28.18 deg, intensity 10.7; 29.23 deg, intensity 11.4; 30.74 deg, intensity 12.2; 31.71 deg, intensity 10.1; 41.05 deg, intensity 25.3; 46.85 deg, intensity 16.2; 47.54 deg, intensity 15.6; 49.30 deg, intensity 16.0; 50.62 deg, intensity 16.5

Crystal structure
```
Cs2Mn3Se4
1.0
-3.167 6.110 7.359
3.167 -6.110 7.359
3.167 6.110 -7.359
Cs Mn Se
4 6 8
Direct
0.121 0.235 0.356 Cs
0.379 0.735 0.114 Cs
0.621 0.265 0.886 Cs
0.879 0.765 0.644 Cs
0.020 0.250 0.770 Mn
0.250 0.750 0.500 Mn
0.480 0.250 0.230 Mn
0.520 0.750 0.770 Mn
0.750 0.250 0.500 Mn
0.980 0.750 0.230 Mn
0.019 0.432 0.146 Se
0.214 0.068 0.587 Se
0.286 0.873 0.854 Se
0.481 0.627 0.413 Se
0.519 0.373 0.587 Se
0.714 0.127 0.146 Se
0.786 0.932 0.413 Se
0.981 0.568 0.854 Se
```


5.
The following is a calculated powder diffractogram of Na2InPb4. It was derived from a cell relaxed with PBE, using Cu Kα (weighted mean of Kα1 and Kα2).

The 10 most intense peaks (2θ from 15° to 90°), sorted by position:
22.09 deg, intensity 80.2; 27.38 deg, intensity 71.9; 28.33 deg, intensity 66.8; 31.44 deg, intensity 70.0; 35.45 deg, intensity 71.6; 36.21 deg, intensity 100.0; 42.17 deg, intensity 47.9; 42.83 deg, intensity 38.2; 59.12 deg, intensity 33.4; 63.91 deg, intensity 44.3

Crystal structure
```
Na2InPb4
1.0
-4.024 4.024 3.258
4.024 -4.024 3.258
4.024 4.024 -3.258
Na In Pb
2 1 4
Direct
0.000 0.500 0.500 Na
0.500 0.000 0.500 Na
0.253 0.253 0.000 In
0.546 0.546 0.593 Pb
0.546 0.953 0.000 Pb
0.953 0.546 0.000 Pb
0.953 0.953 0.407 Pb
```


6.
The following is a calculated powder diffractogram of Tb8CeY4. It was derived from a cell relaxed with PBE, using Cu Kα (weighted mean of Kα1 and Kα2).

The 10 most intense peaks (2θ from 15° to 90°), sorted by position:
22.84 deg, intensity 22.1; 32.52 deg, intensity 100.0; 40.12 deg, intensity 6.8; 46.66 deg, intensity 18.0; 52.56 deg, intensity 9.1; 57.94 deg, intensity 9.3; 58.06 deg, intensity 27.7; 68.06 deg, intensity 5.6; 68.18 deg, intensity 5.6; 77.54 deg, intensity 15.3

Crystal structure
```
Tb8CeY4
1.0
5.502 3.176 4.503
-5.502 3.176 4.503
0.000 -6.353 4.503
Tb Ce Y
8 1 4
Direct
0.242 0.242 0.242 Tb
0.242 0.242 0.758 Tb
0.242 0.758 0.242 Tb
0.242 0.758 0.758 Tb
0.758 0.242 0.242 Tb
0.758 0.242 0.758 Tb
0.758 0.758 0.242 Tb
0.758 0.758 0.758 Tb
0.500 0.500 0.500 Ce
0.000 0.000 0.000 Y
0.000 0.500 0.500 Y
0.500 0.000 0.500 Y
0.500 0.500 0.000 Y
```


7.
The following is a calculated powder diffractogram of TlZn2Rh. It was derived from a cell relaxed with PBE, using Cu Kα (weighted mean of Kα1 and Kα2).

The 10 most intense peaks (2θ from 15° to 90°), sorted by position:
17.06 deg, intensity 37.2; 27.15 deg, intensity 46.4; 35.42 deg, intensity 54.9; 35.73 deg, intensity 39.0; 37.24 deg, intensity 100.0; 40.73 deg, intensity 91.4; 40.92 deg, intensity 29.4; 41.79 deg, intensity 57.8; 42.68 deg, intensity 54.1; 74.56 deg, intensity 26.1

Crystal structure
```
TlZn2Rh
1.0
3.211 0.000 0.000
0.000 4.237 0.000
-0.922 0.000 5.197
Tl Zn Rh
1 2 1
Direct
0.000 0.000 0.000 Tl
0.351 0.000 0.513 Zn
0.822 0.500 0.377 Zn
0.458 0.500 0.788 Rh
```


8.
The following is a calculated powder diffractogram of Sm7Bi2Pd2. It was derived from a cell relaxed with PBE, using Cu Kα (weighted mean of Kα1 and Kα2).

The 10 most intense peaks (2θ from 15° to 90°), sorted by position:
20.08 deg, intensity 19.3; 23.86 deg, intensity 36.1; 25.69 deg, intensity 18.1; 28.31 deg, intensity 28.9; 29.77 deg, intensity 17.8; 31.60 deg, intensity 57.4; 36.27 deg, intensity 100.0; 41.11 deg, intensity 27.4; 52.78 deg, intensity 18.5; 59.35 deg, intensity 26.9

Crystal structure
```
Sm7Bi2Pd2
1.0
4.387 -5.663 0.000
4.387 5.663 0.000
0.000 0.000 7.079
Sm Bi Pd
7 2 2
Direct
0.000 0.000 0.000 Sm
0.000 0.500 0.254 Sm
0.000 0.500 0.746 Sm
0.500 0.000 0.254 Sm
0.500 0.000 0.746 Sm
0.500 0.500 0.236 Sm
0.500 0.500 0.764 Sm
0.191 0.191 0.500 Bi
0.809 0.809 0.500 Bi
0.277 0.723 0.000 Pd
0.723 0.277 0.000 Pd
```


9.
The following is a calculated powder diffractogram of Rb3NpO6. It was derived from a cell relaxed with PBE, using Cu Kα (weighted mean of Kα1 and Kα2).

The 10 most intense peaks (2θ from 15° to 90°), sorted by position:
15.09 deg, intensity 30.8; 17.11 deg, intensity 60.0; 22.12 deg, intensity 37.5; 26.29 deg, intensity 100.0; 28.65 deg, intensity 82.7; 39.27 deg, intensity 42.4; 42.25 deg, intensity 16.6; 46.39 deg, intensity 24.8; 47.88 deg, intensity 48.0; 62.37 deg, intensity 19.7

Crystal structure
```
Rb3NpO6
1.0
6.780 0.000 0.000
-3.390 5.872 0.000
0.000 0.000 11.027
Rb Np O
6 2 12
Direct
0.000 0.000 0.000 Rb
0.000 0.000 0.500 Rb
0.333 0.667 0.084 Rb
0.333 0.667 0.416 Rb
0.667 0.333 0.584 Rb
0.667 0.333 0.916 Rb
0.333 0.667 0.750 Np
0.667 0.333 0.250 Np
0.108 0.429 0.643 O
0.108 0.679 0.857 O
0.321 0.429 0.857 O
0.321 0.892 0.643 O
0.429 0.108 0.357 O
0.429 0.321 0.143 O
0.571 0.679 0.643 O
0.571 0.892 0.857 O
0.679 0.108 0.143 O
0.679 0.571 0.357 O
0.892 0.321 0.357 O
0.892 0.571 0.143 O
```


10.
The following is a calculated powder diffractogram of Ti3Tc. It was derived from a cell relaxed with PBE, using Cu Kα (weighted mean of Kα1 and Kα2).

The 10 most intense peaks (2θ from 15° to 90°), sorted by position:
24.28 deg, intensity 12.2; 28.10 deg, intensity 6.3; 40.17 deg, intensity 100.0; 47.49 deg, intensity 6.3; 58.10 deg, intensity 15.7; 63.90 deg, intensity 2.7; 65.77 deg, intensity 2.5; 72.99 deg, intensity 30.3; 78.22 deg, intensity 2.0; 86.75 deg, intensity 9.5

Crystal structure
```
Ti3Tc
1.0
0.000 3.175 3.175
3.175 0.000 3.175
3.175 3.175 0.000
Ti Tc
3 1
Direct
0.000 0.000 0.000 Ti
0.250 0.250 0.250 Ti
0.750 0.750 0.750 Ti
0.500 0.500 0.500 Tc
```


11.
The following is a calculated powder diffractogram of Mg3Ga3N5. It was derived from a cell relaxed with PBE, using Cu Kα (weighted mean of Kα1 and Kα2).

The 10 most intense peaks (2θ from 15° to 90°), sorted by position:
16.38 deg, intensity 42.3; 21.42 deg, intensity 100.0; 25.59 deg, intensity 79.5; 30.03 deg, intensity 41.9; 33.44 deg, intensity 54.4; 33.63 deg, intensity 60.0; 34.62 deg, intensity 63.7; 34.84 deg, intensity 79.4; 41.11 deg, intensity 36.3; 46.74 deg, intensity 37.0

Crystal structure
```
Mg3Ga3N5
1.0
5.681 0.000 0.000
-0.576 6.707 0.000
-2.062 -2.810 7.502
Mg Ga N
6 6 10
Direct
0.088 0.016 0.247 Mg
0.220 0.385 0.949 Mg
0.354 0.922 0.612 Mg
0.646 0.078 0.388 Mg
0.780 0.615 0.051 Mg
0.912 0.984 0.753 Mg
0.193 0.422 0.579 Ga
0.359 0.645 0.297 Ga
0.370 0.812 0.969 Ga
0.630 0.188 0.031 Ga
0.641 0.355 0.703 Ga
0.807 0.578 0.421 Ga
0.156 0.616 0.443 N
0.168 0.729 0.105 N
0.288 0.028 0.861 N
0.335 0.164 0.495 N
0.431 0.539 0.821 N
0.569 0.461 0.179 N
0.665 0.836 0.505 N
0.712 0.972 0.139 N
0.832 0.271 0.895 N
0.844 0.384 0.557 N
```


12.
The following is a calculated powder diffractogram of Pr3Dy4Th. It was derived from a cell relaxed with PBE, using Cu Kα (weighted mean of Kα1 and Kα2).

The 10 most intense peaks (2θ from 15° to 90°), sorted by position:
26.66 deg, intensity 21.5; 30.14 deg, intensity 57.0; 30.45 deg, intensity 56.1; 30.77 deg, intensity 19.1; 31.00 deg, intensity 100.0; 36.39 deg, intensity 40.5; 37.27 deg, intensity 32.2; 40.90 deg, intensity 15.7; 54.46 deg, intensity 20.6; 62.67 deg, intensity 27.7

Crystal structure
```
Pr3Dy4Th
1.0
-1.728 5.871 6.625
1.728 -5.871 6.625
1.728 5.871 -6.625
Pr Dy Th
3 4 1
Direct
0.000 0.000 0.000 Pr
0.268 0.768 0.500 Pr
0.732 0.232 0.500 Pr
0.115 0.367 0.748 Dy
0.382 0.633 0.748 Dy
0.618 0.367 0.252 Dy
0.885 0.633 0.252 Dy
0.500 0.500 0.000 Th
```


13.
The following is a calculated powder diffractogram of Ho12Er2Sc. It was derived from a cell relaxed with PBE, using Cu Kα (weighted mean of Kα1 and Kα2).

The 10 most intense peaks (2θ from 15° to 90°), sorted by position:
30.43 deg, intensity 72.5; 30.56 deg, intensity 67.5; 31.16 deg, intensity 34.0; 33.05 deg, intensity 80.9; 33.52 deg, intensity 58.6; 33.80 deg, intensity 100.0; 47.75 deg, intensity 21.6; 51.75 deg, intensity 22.1; 57.44 deg, intensity 23.5; 62.79 deg, intensity 23.6

Crystal structure
```
Ho12Er2Sc
1.0
3.533 0.000 0.000
0.000 5.421 0.000
-0.250 0.000 24.327
Ho Er Sc
12 2 1
Direct
0.222 0.000 0.438 Ho
0.223 0.500 0.629 Ho
0.247 0.000 0.945 Ho
0.255 0.500 0.076 Ho
0.264 0.000 0.169 Ho
0.270 0.000 0.300 Ho
0.730 0.000 0.700 Ho
0.736 0.000 0.831 Ho
0.745 0.500 0.924 Ho
0.753 0.000 0.055 Ho
0.777 0.500 0.371 Ho
0.778 0.000 0.562 Ho
0.232 0.500 0.777 Er
0.768 0.500 0.223 Er
0.500 0.500 0.500 Sc
```